Structure and calculated PXRD pattern of NaTe4Pd2 (a DFT-relaxed cell (PBE, Alexandria); Cu Ka).
Intensities are scaled so that the largest is 100.

Structure:
abc: 8.375 8.375 8.345
angles: 119.82 119.82 90.47
Atoms (fractional coordinates):
Na 0.124 0.876 0.750
Na 0.876 0.124 0.250
Te 0.268 0.309 0.039
Te 0.270 0.729 0.462
Te 0.271 0.730 0.038
Te 0.309 0.268 0.539
Te 0.691 0.732 0.461
Te 0.729 0.270 0.962
Te 0.730 0.271 0.538
Te 0.732 0.691 0.961
Pd 0.000 0.500 0.000
Pd 0.500 0.000 0.500
Pd 0.500 0.500 0.000
Pd 0.500 0.500 0.500

Main lines, low angle first (2θ = 5–70°):
2theta	I (rel.)
12.96	100.0
26.08	32.3
30.06	39.7
30.28	80.1
39.39	20.3
39.61	22.0
39.69	19.1
43.19	58.3
43.35	29.6
53.65	22.3